1.
Ba3WCl2O5: calculated XRD peak list (CuKα), based on a DFT-relaxed cell (PBE+U, the Materials Project).
Neutral-atom scattering factors, no anomalous dispersion.

Main lines, low angle first (2θ from 10° to 80°):
d_spacing  intensity  index
7.015  54  0 2 0
3.991  44  1 1 2
3.502  100  1 3 1
3.175  59  1 1 3
3.110  81  1 3 2
2.959  58  2 0 0

Atomic structure:
```
data_Ba3WCl2O5
_chemical_formula_sum 'Ba12 W4 Cl8 O20'
_cell_length_a 5.9184
_cell_length_b 14.0296
_cell_length_c 11.7143
_cell_angle_alpha 90.00
_cell_angle_beta 90.00
_cell_angle_gamma 90.00
_symmetry_space_group_name_H-M 'C m c m'
_symmetry_Int_Tables_number 63
_symmetry_space_group_name_Hall '-C 2c 2'
loop_
_atom_site_label
_atom_site_type_symbol
_atom_site_fract_x
_atom_site_fract_y
_atom_site_fract_z
_atom_site_occupancy
Ba1 Ba 0.0000 0.0913 0.2500 1
Ba2 Ba 0.0000 0.3461 0.0444 1
W1 W 0.0000 0.2462 0.7500 1
Cl1 Cl 0.0000 0.0000 0.0000 1
Cl2 Cl 0.0000 0.4956 0.7500 1
O1 O 0.0000 0.1190 0.7500 1
O2 O 0.2240 0.2806 0.6364 1
```

---

2.
Fe5O7F3: calculated XRD peak list (CuKα), based on a DFT-relaxed cell (PBE+U, the Materials Project).
Neutral-atom scattering factors, no anomalous dispersion.

Main lines, low angle first (2θ from 10° to 80°):
d_spacing  intensity  index
3.345  100  1 1 0
3.253  98  1 -1 0
2.552  55  0 1 5
2.541  51  1 0 -5
1.738  30  2 1 5
1.706  41  -2 1 5

Atomic structure:
```
data_Fe5O7F3
_chemical_formula_sum 'Fe10 O14 F6'
_cell_length_a 4.6605
_cell_length_b 4.6707
_cell_length_c 15.1963
_cell_angle_alpha 89.66
_cell_angle_beta 89.79
_cell_angle_gamma 88.40
_symmetry_space_group_name_H-M 'P -1'
_symmetry_Int_Tables_number 2
loop_
_symmetry_equiv_pos_as_xyz
'x,y,z'
'-x,-y,-z'
loop_
_atom_site_label
_atom_site_type_symbol
_atom_site_fract_x
_atom_site_fract_y
_atom_site_fract_z
_atom_site_occupancy
Fe1 Fe 0.0000 0.0000 0.0000 1
Fe2 Fe 0.0016 0.9947 0.7992 1
Fe3 Fe 0.0177 0.9686 0.4052 1
Fe4 Fe 0.4736 0.4749 0.0992 1
Fe5 Fe 0.4786 0.4630 0.7066 1
Fe6 Fe 0.5000 0.5000 0.5000 1
O1 O 0.1732 0.1824 0.7016 1
O2 O 0.1779 0.1808 0.1001 1
O3 O 0.2000 0.2000 0.4982 1
O4 O 0.2973 0.6960 0.1959 1
O5 O 0.3057 0.6933 0.9998 1
O6 O 0.3075 0.6959 0.8023 1
O7 O 0.3293 0.6853 0.3992 1
F1 F 0.2072 0.2022 0.9004 1
F2 F 0.2127 0.2002 0.3013 1
F3 F 0.2852 0.6985 0.6043 1
```

---

3.
Fe2O3: calculated XRD peak list (CuKα), based on a DFT-relaxed cell (PBE+U, the Materials Project).
Neutral-atom scattering factors, no anomalous dispersion.

Main lines, low angle first (2θ from 10° to 80°):
d_spacing  intensity  index
3.278  27  0 2 2
3.012  33  0 1 3
2.772  100  1 2 2
2.608  28  2 0 0
2.501  31  1 3 1
1.542  32  1 3 5

Atomic structure:
```
data_Fe2O3
_chemical_formula_sum 'Fe16 O24'
_cell_length_a 5.2153
_cell_length_b 8.9525
_cell_length_c 9.5955
_cell_angle_alpha 90.00
_cell_angle_beta 90.00
_cell_angle_gamma 90.00
_symmetry_space_group_name_H-M 'P n a 21'
_symmetry_Int_Tables_number 33
loop_
_symmetry_equiv_pos_as_xyz
'x,y,z'
'-x,-y,z+1/2'
'-x+1/2,y+1/2,z+1/2'
'x+1/2,-y+1/2,z'
loop_
_atom_site_label
_atom_site_type_symbol
_atom_site_fract_x
_atom_site_fract_y
_atom_site_fract_z
_atom_site_occupancy
Fe1 Fe 0.1756 0.0316 0.2145 1
Fe2 Fe 0.1777 0.3489 0.4169 1
Fe3 Fe 0.1877 0.6597 0.2268 1
Fe4 Fe 0.1914 0.3473 0.0000 1
O1 O 0.0178 0.8233 0.3468 1
O2 O 0.0216 0.1684 0.3536 1
O3 O 0.0252 0.4884 0.8511 1
O4 O 0.1538 0.6694 0.5890 1
O5 O 0.1592 0.0002 0.6214 1
O6 O 0.1617 0.3410 0.6176 1
```

---

4.
Li2VSi3O9: calculated XRD peak list (CuKα), based on a DFT-relaxed cell (PBE+U, the Materials Project).
Neutral-atom scattering factors, no anomalous dispersion.

Main lines, low angle first (2θ from 10° to 80°):
d_spacing  intensity  index
6.049  40  1 1 0
5.398  36  0 0 2
5.277  100  1 1 1
4.722  10  0 2 0
2.912  25  2 2 1
2.822  12  1 3 1

Atomic structure:
```
data_Li2VSi3O9
_chemical_formula_sum 'Li8 V4 Si12 O36'
_cell_length_a 7.8768
_cell_length_b 9.4446
_cell_length_c 10.7962
_cell_angle_alpha 90.00
_cell_angle_beta 90.00
_cell_angle_gamma 90.00
_symmetry_space_group_name_H-M 'P 21 21 21'
_symmetry_Int_Tables_number 19
loop_
_symmetry_equiv_pos_as_xyz
'x,y,z'
'-x+1/2,-y,z+1/2'
'x+1/2,-y+1/2,-z'
'-x,y+1/2,-z+1/2'
loop_
_atom_site_label
_atom_site_type_symbol
_atom_site_fract_x
_atom_site_fract_y
_atom_site_fract_z
_atom_site_occupancy
Li1 Li 0.0817 0.1243 0.4975 1
Li2 Li 0.1532 0.8095 0.4217 1
V1 V 0.2435 0.9051 0.7014 1
Si1 Si 0.0408 0.3545 0.2831 1
Si2 Si 0.0860 0.9272 0.9674 1
Si3 Si 0.0964 0.5944 0.7210 1
O1 O 0.0156 0.8126 0.0724 1
O2 O 0.0527 0.2189 0.1911 1
O3 O 0.0572 0.0585 0.6829 1
O4 O 0.0835 0.4913 0.5977 1
O5 O 0.0988 0.7557 0.6583 1
O6 O 0.1139 0.9495 0.2748 1
O7 O 0.2096 0.8412 0.8744 1
O8 O 0.2111 0.0478 0.0271 1
O9 O 0.2199 0.4425 0.2860 1
```

---

5.
EuVO2: calculated XRD peak list (CuKα), based on a DFT-relaxed cell (PBE+U, the Materials Project).
Neutral-atom scattering factors, no anomalous dispersion.

Main lines, low angle first (2θ from 10° to 80°):
d_spacing  intensity  index
5.610  43  1 0 1
2.921  47  0 0 4
2.805  100  2 0 2
2.261  48  2 2 0
1.788  41  2 2 4
1.663  26  2 0 6

Atomic structure:
```
data_EuVO2
_chemical_formula_sum 'Eu8 V8 O16'
_cell_length_a 6.3950
_cell_length_b 6.3950
_cell_length_c 11.6830
_cell_angle_alpha 90.00
_cell_angle_beta 90.00
_cell_angle_gamma 90.00
_symmetry_space_group_name_H-M 'I 41/a m d'
_symmetry_Int_Tables_number 141
loop_
_symmetry_equiv_pos_as_xyz
'x,y,z'
'-x,-y,-z'
'-y+1/4,x+3/4,z+1/4'
'y+1/4,-x+3/4,-z+1/4'
'-x+1/2,-y,z+1/2'
'x+1/2,y,-z+1/2'
'y+1/4,-x+1/4,z+3/4'
'-y+1/4,x+1/4,-z+3/4'
'x,-y,-z'
'-x,y,z'
'-y+1/4,-x+1/4,-z+3/4'
'y+1/4,x+1/4,z+3/4'
'-x+1/2,y,-z+1/2'
'x+1/2,-y,z+1/2'
'y+1/4,x+3/4,-z+1/4'
'-y+1/4,-x+3/4,z+1/4'
'x+1/2,y+1/2,z+1/2'
'-x+1/2,-y+1/2,-z+1/2'
'-y+3/4,x+1/4,z+3/4'
'y+3/4,-x+1/4,-z+3/4'
'-x,-y+1/2,z'
'x,y+1/2,-z'
'y+3/4,-x+3/4,z+1/4'
'-y+3/4,x+3/4,-z+1/4'
'x+1/2,-y+1/2,-z+1/2'
'-x+1/2,y+1/2,z+1/2'
'-y+3/4,-x+3/4,-z+1/4'
'y+3/4,x+3/4,z+1/4'
'-x,y+1/2,-z'
'x,-y+1/2,z'
'y+3/4,x+1/4,-z+3/4'
'-y+3/4,-x+1/4,z+3/4'
loop_
_atom_site_label
_atom_site_type_symbol
_atom_site_fract_x
_atom_site_fract_y
_atom_site_fract_z
_atom_site_occupancy
Eu1 Eu 0.0000 0.0000 0.0000 1
V1 V 0.0000 0.0000 0.5000 1
O1 O 0.0000 0.0375 0.2145 1
```

---

6.
Mn2PO5: calculated XRD peak list (CuKα), based on a DFT-relaxed cell (PBE+U, the Materials Project).
Neutral-atom scattering factors, no anomalous dispersion.

Main lines, low angle first (2θ from 10° to 80°):
d_spacing  intensity  index
5.408  38  1 0 1
3.469  34  1 0 2
3.374  100  2 0 1
2.803  88  1 2 1
2.465  43  1 0 3
1.580  34  3 2 3

Atomic structure:
```
data_Mn2PO5
_chemical_formula_sum 'Mn8 P4 O20'
_cell_length_a 7.4779
_cell_length_b 6.5555
_cell_length_c 7.8304
_cell_angle_alpha 90.00
_cell_angle_beta 90.00
_cell_angle_gamma 90.00
_symmetry_space_group_name_H-M 'P n m a'
_symmetry_Int_Tables_number 62
loop_
_symmetry_equiv_pos_as_xyz
'x,y,z'
'-x,-y,-z'
'-x+1/2,-y,z+1/2'
'x+1/2,y,-z+1/2'
'x+1/2,-y+1/2,-z+1/2'
'-x+1/2,y+1/2,z+1/2'
'-x,y+1/2,-z'
'x,-y+1/2,z'
loop_
_atom_site_label
_atom_site_type_symbol
_atom_site_fract_x
_atom_site_fract_y
_atom_site_fract_z
_atom_site_occupancy
Mn1 Mn 0.0000 0.0000 0.0000 1
Mn2 Mn 0.1485 0.2500 0.2909 1
P1 P 0.1215 0.7500 0.3588 1
O1 O 0.0451 0.2500 0.5324 1
O2 O 0.0937 0.7500 0.8663 1
O3 O 0.1290 0.5597 0.2375 1
O4 O 0.2043 0.2500 0.9704 1
```